# 1
# Ho4SnHg3
Computed powder diffractogram, Cu Kα (weighted mean of Kα1 and Kα2). Input: a DFT-relaxed cell (PBE, Alexandria).

The 6 most intense peaks (2θ = 5–70°), sorted by position:
h k l, 2theta, Rel. int.
0 0 1, 11.9, 0.7
1 0 1, 20.7, 0.7
2 0 0, 34.1, 100.0
2 2 0, 49.0, 12.2
0 0 4, 49.1, 6.0
3 1 2, 61.1, 38.0

Atomic structure:
a = 5.2597 Å, b = 5.2597 Å, c = 7.4191 Å
α = 90.00°, β = 90.00°, γ = 90.00°
Space group P4/mmm (No. 123)
Asymmetric unit:
Ho 0.0000 0.5000 0.2481
Sn 0.0000 0.0000 0.5000
Hg 0.0000 0.0000 0.0000
Hg 0.5000 0.5000 0.0000
Hg 0.5000 0.5000 0.5000

=====

# 2
# CeTm4Sc
Computed powder diffractogram, Cu Kα (weighted mean of Kα1 and Kα2). Input: a DFT-relaxed cell (PBE, Alexandria).

The 6 most intense peaks (2θ = 5–70°), sorted by position:
h k l, 2theta, Rel. int.
2 0 3, 29.4, 23.8
0 2 0, 32.4, 24.7
4 1 0, 33.7, 100.0
6 0 3, 52.2, 19.2
4 3 0, 58.7, 20.4
6 2 3, 62.8, 22.0

Atomic structure:
a = 12.1369 Å, b = 5.5227 Å, c = 10.5047 Å
α = 90.00°, β = 90.00°, γ = 90.00°
Space group Pnma (No. 62)
Asymmetric unit:
Ce 0.2093 0.2500 0.0832
Tm 0.0417 0.7500 0.7466
Tm 0.0427 0.7500 0.0832
Tm 0.2053 0.2500 0.4197
Tm 0.2114 0.2500 0.7505
Sc 0.0424 0.7500 0.4195

=====

# 3
# LiZr2Si
Computed powder diffractogram, Cu Kα (weighted mean of Kα1 and Kα2). Input: a DFT-relaxed cell (PBE, Alexandria).

The 6 most intense peaks (2θ = 5–70°), sorted by position:
h k l, 2theta, Rel. int.
0 0 1, 10.0, 78.3
0 0 2, 20.1, 48.4
1 0 0, 29.8, 51.6
1 0 2, 36.2, 100.0
1 1 0, 42.7, 39.4
1 0 3, 43.0, 37.9

Atomic structure:
a = 2.9954 Å, b = 2.9954 Å, c = 8.8498 Å
α = 90.00°, β = 90.00°, γ = 90.00°
Space group P4/mmm (No. 123)
Asymmetric unit:
Li 0.0000 0.0000 0.0000
Zr 0.5000 0.5000 0.2914
Si 0.0000 0.0000 0.5000

=====

# 4
# SmCuGe3
Computed powder diffractogram, Cu Kα (weighted mean of Kα1 and Kα2). Input: a DFT-relaxed cell (PBE, Alexandria).

The 6 most intense peaks (2θ = 5–70°), sorted by position:
h k l, 2theta, Rel. int.
1 3 1, 32.3, 100.0
0 6 1, 32.6, 25.7
2 0 0, 42.3, 26.6
0 0 2, 42.9, 25.6
1 9 0, 43.1, 22.0
2 0 2, 61.8, 16.9

Atomic structure:
a = 4.2721 Å, b = 21.6892 Å, c = 4.2191 Å
α = 90.00°, β = 90.00°, γ = 90.00°
Space group Cmmm (No. 65)
Asymmetric unit:
Sm 0.0000 0.1681 0.0000
Cu 0.0000 0.3879 0.5000
Ge 0.0000 0.0574 0.5000
Ge 0.0000 0.2797 0.5000
Ge 0.0000 0.4431 0.0000

=====

# 5
# ZnCd
Computed powder diffractogram, Cu Kα (weighted mean of Kα1 and Kα2). Input: a DFT-relaxed cell (PBE, Alexandria).

The 6 most intense peaks (2θ = 5–70°), sorted by position:
h k l, 2theta, Rel. int.
1 0 1, 23.5, 8.7
1 1 2, 36.7, 100.0
0 0 4, 42.5, 16.4
2 0 0, 42.7, 32.3
2 0 4, 61.8, 20.4
2 2 0, 62.0, 10.1

Atomic structure:
a = 4.2358 Å, b = 4.2358 Å, c = 8.5142 Å
α = 90.00°, β = 90.00°, γ = 90.00°
Space group I4_1/amd (No. 141, origin choice 2)
Asymmetric unit:
Zn 0.0000 0.2500 0.3750
Cd 0.0000 0.2500 0.8750

=====

# 6
# Ba2PuAlS5
Computed powder diffractogram, Cu Kα (weighted mean of Kα1 and Kα2). Input: a DFT-relaxed cell (PBE, Alexandria).

The 6 most intense peaks (2θ = 5–70°), sorted by position:
h k l, 2theta, Rel. int.
0 2 0, 9.7, 23.9
0 2 2, 16.7, 22.1
0 2 3, 22.6, 33.7
1 1 3, 30.3, 100.0
1 5 2, 35.7, 33.3
2 6 1, 54.5, 19.3

Atomic structure:
a = 4.0962 Å, b = 18.2190 Å, c = 13.1135 Å
α = 90.00°, β = 90.00°, γ = 90.00°
Space group Cmc2_1 (No. 36)
Asymmetric unit:
Ba 0.0000 0.1176 0.0000
Ba 0.0000 0.1286 0.6465
Pu 0.0000 0.2003 0.3441
Al 0.0000 0.4430 0.7406
S 0.0000 0.0399 0.3308
S 0.0000 0.2966 0.9822
S 0.0000 0.3208 0.6965
S 0.0000 0.3474 0.3262
S 0.0000 0.4981 0.0933

=====

# 7
# YTeP4
Computed powder diffractogram, Cu Kα (weighted mean of Kα1 and Kα2). Input: a DFT-relaxed cell (PBE, Alexandria).

The 6 most intense peaks (2θ = 5–70°), sorted by position:
h k l, 2theta, Rel. int.
1 1 1, 19.5, 41.3
2 2 0, 32.2, 93.2
3 1 1, 37.9, 100.0
4 2 2, 57.4, 32.4
3 3 3, 61.2, 35.8
4 4 0, 67.3, 19.8

Atomic structure:
a = 7.8650 Å, b = 7.8650 Å, c = 7.8650 Å
α = 90.00°, β = 90.00°, γ = 90.00°
Space group F-43m (No. 216)
Asymmetric unit:
Y 0.0000 0.0000 0.0000
Te 0.2500 0.2500 0.2500
P 0.1044 0.1044 0.6044

=====

# 8
# Pa2AsO8F
Computed powder diffractogram, Cu Kα (weighted mean of Kα1 and Kα2). Input: a DFT-relaxed cell (PBE, Alexandria).

The 6 most intense peaks (2θ = 5–70°), sorted by position:
h k l, 2theta, Rel. int.
1 1 0, 19.9, 100.0
0 0 2, 23.4, 31.0
0 2 0, 27.2, 65.4
2 0 0, 29.3, 48.6
1 1 -2, 30.0, 82.3
1 1 2, 31.7, 70.3

Atomic structure:
a = 6.1035 Å, b = 6.5613 Å, c = 7.6250 Å
α = 90.00°, β = 94.28°, γ = 90.00°
Space group C2/m (No. 12)
Asymmetric unit:
Pa 0.0213 0.0000 0.2515
As 0.0000 0.5000 0.5000
O 0.0372 0.3077 0.6822
O 0.1977 0.0000 0.9952
O 0.2053 0.0000 0.5126
F 0.0000 0.5000 0.0000

=====

# 9
# Li2Cd5Ga2
Computed powder diffractogram, Cu Kα (weighted mean of Kα1 and Kα2). Input: a DFT-relaxed cell (PBE, Alexandria).

The 6 most intense peaks (2θ = 5–70°), sorted by position:
h k l, 2theta, Rel. int.
1 1 -1, 18.2, 13.5
3 1 -1, 25.0, 13.5
2 0 2, 34.1, 29.6
3 3 0, 36.8, 100.0
6 0 0, 40.1, 27.0
1 3 -2, 43.0, 34.6

Atomic structure:
a = 13.6547 Å, b = 8.7033 Å, c = 6.1406 Å
α = 90.00°, β = 98.43°, γ = 90.00°
Space group Cc (No. 9)
Asymmetric unit:
Li 0.0000 0.1659 0.0000
Li 0.3156 0.1679 0.1036
Cd 0.1557 0.3399 0.2979
Cd 0.1591 0.0021 0.8040
Cd 0.3264 0.1664 0.6072
Cd 0.3396 0.4978 0.2090
Cd 0.4938 0.3126 0.0052
Ga 0.1584 0.3328 0.8227
Ga 0.4786 0.0198 0.3753

=====

# 10
# TbHBr3
Computed powder diffractogram, Cu Kα (weighted mean of Kα1 and Kα2). Input: a DFT-relaxed cell (PBE, Alexandria).

The 6 most intense peaks (2θ = 5–70°), sorted by position:
h k l, 2theta, Rel. int.
1 0 0, 12.1, 77.0
0 1 1, 13.7, 100.0
0 0 2, 14.1, 40.6
2 1 -3, 29.6, 31.4
1 1 3, 30.0, 31.8
2 2 -2, 34.0, 34.0

Atomic structure:
a = 7.6786 Å, b = 7.5573 Å, c = 13.1763 Å
α = 90.00°, β = 107.62°, γ = 90.00°
Space group P2/c (No. 13)
Asymmetric unit:
Tb 0.0002 0.2501 0.0838
H 0.0513 0.2461 0.7609
Br 0.2429 0.0219 0.0262
Br 0.2433 0.4776 0.5596
Br 0.2459 0.2504 0.2934

=====

# 11
# MnBe2PtBr
Computed powder diffractogram, Cu Kα (weighted mean of Kα1 and Kα2). Input: a DFT-relaxed cell (PBE, Alexandria).

The 6 most intense peaks (2θ = 5–70°), sorted by position:
h k l, 2theta, Rel. int.
1 0 0, 20.5, 55.0
1 0 1, 26.7, 100.0
1 1 0, 29.2, 86.2
2 0 0, 41.8, 37.7
1 1 2, 45.6, 50.6
2 1 1, 50.3, 36.7

Atomic structure:
a = 4.3261 Å, b = 4.3261 Å, c = 5.2293 Å
α = 90.00°, β = 90.00°, γ = 90.00°
Space group P4/mmm (No. 123)
Asymmetric unit:
Mn 0.0000 0.0000 0.0000
Be 0.0000 0.5000 0.5000
Pt 0.0000 0.0000 0.5000
Br 0.5000 0.5000 0.0000

=====

# 12
# La8Si3AgI4
Computed powder diffractogram, Cu Kα (weighted mean of Kα1 and Kα2). Input: a DFT-relaxed cell (PBE, Alexandria).

The 6 most intense peaks (2θ = 5–70°), sorted by position:
h k l, 2theta, Rel. int.
0 2 4, 27.8, 100.0
2 0 5, 30.2, 15.4
2 0 8, 39.0, 32.0
2 2 0, 40.5, 38.3
4 0 4, 49.9, 19.3
2 4 4, 66.1, 16.0

Atomic structure:
a = 8.9054 Å, b = 8.9054 Å, c = 23.0955 Å
α = 90.00°, β = 90.00°, γ = 120.00°
Space group R-3m (No. 166, hexagonal axes)
Asymmetric unit:
La 0.0000 0.0000 0.2341
La 0.0134 0.5067 0.7630
Si 0.0000 0.5000 0.5000
Ag 0.0000 0.0000 0.5000
I 0.0000 0.0000 0.0000
I 0.0000 0.5000 0.0000